Record 1
The following is a computed X-ray powder pattern of CsTh2Ag2S6. It was derived from a DFT-relaxed cell (PBE, Alexandria), using Cu Kα X-rays.

Atomic structure:
Unit cell a=7.586 b=7.642 c=7.871 alpha=61.07 beta=61.44 gamma=68.13
Positions (direct):
Cs1 0.000 0.000 0.000
Th1 0.320 0.013 0.348
Th2 0.680 0.987 0.652
Ag1 0.374 0.527 0.727
Ag2 0.626 0.473 0.273
S1 0.056 0.759 0.680
S2 0.362 0.238 0.510
S3 0.453 0.792 0.085
S4 0.547 0.208 0.915
S5 0.638 0.762 0.490
S6 0.944 0.241 0.320

Most intense lines, 2θ = 15–90°, low angle first:
d/Å  2θ/deg  I (rel.)
3.924  22.66  53
3.755  23.69  85
3.558  25.03  50
3.415  26.09  39
3.333  26.75  100
3.287  27.13  45
3.202  27.86  87
2.667  33.61  67
2.317  38.87  38
2.018  44.91  31



Record 2
The following is a computed X-ray powder pattern of AcSi3Ni2. It was derived from a DFT-relaxed cell (PBE, Alexandria), using Cu Kα X-rays.

Atomic structure:
Unit cell a=8.718 b=8.718 c=8.718 alpha=60.00 beta=60.00 gamma=60.00
Positions (direct):
Ac1 0.000 0.000 0.000
Ac2 0.000 0.000 0.500
Ac3 0.000 0.500 0.000
Ac4 0.500 0.000 0.000
Si1 0.179 0.179 0.571
Si2 0.179 0.571 0.179
Si3 0.179 0.571 0.571
Si4 0.429 0.429 0.821
Si5 0.429 0.821 0.429
Si6 0.429 0.821 0.821
Si7 0.571 0.179 0.179
Si8 0.571 0.179 0.571
Si9 0.571 0.571 0.179
Si10 0.821 0.429 0.429
Si11 0.821 0.429 0.821
Si12 0.821 0.821 0.429
Ni1 0.260 0.260 0.260
Ni2 0.260 0.260 0.720
Ni3 0.260 0.720 0.260
Ni4 0.280 0.740 0.740
Ni5 0.720 0.260 0.260
Ni6 0.740 0.280 0.740
Ni7 0.740 0.740 0.280
Ni8 0.740 0.740 0.740

Most intense lines, 2θ = 15–90°, low angle first:
d/Å  2θ/deg  I (rel.)
3.717  23.94  69
3.082  28.97  71
2.829  31.63  71
2.373  37.92  29
2.180  41.43  100
2.084  43.42  19
1.780  51.34  25
1.605  57.41  22
1.378  68.01  32
1.258  75.56  23



Record 3
The following is a computed X-ray powder pattern of PmPr4Bi5. It was derived from a DFT-relaxed cell (PBE, Alexandria), using Cu Kα X-rays.

Atomic structure:
Unit cell a=16.679 b=16.679 c=16.679 alpha=164.04 beta=164.04 gamma=22.64
Positions (direct):
Pm1 0.000 0.000 0.000
Pr1 0.200 0.200 0.000
Pr2 0.400 0.400 0.000
Pr3 0.600 0.600 0.000
Pr4 0.800 0.800 0.000
Bi1 0.099 0.099 0.000
Bi2 0.300 0.300 0.000
Bi3 0.500 0.500 0.000
Bi4 0.700 0.700 0.000
Bi5 0.901 0.901 0.000

Most intense lines, 2θ = 15–90°, low angle first:
d/Å  2θ/deg  I (rel.)
3.779  23.54  6
3.273  27.25  100
2.314  38.91  79
1.974  45.98  4
1.890  48.15  29
1.636  56.21  14
1.464  63.56  38
1.336  70.47  28
1.157  83.55  9
1.091  89.92  19



Record 4
The following is a computed X-ray powder pattern of NdGe4Rh6. It was derived from a DFT-relaxed cell (PBE, Alexandria), using Cu Kα X-rays.

Atomic structure:
Unit cell a=7.231 b=7.231 c=3.882 alpha=90.00 beta=90.00 gamma=120.00
Positions (direct):
Nd1 0.000 0.000 0.000
Ge1 0.333 0.667 0.000
Ge2 0.396 0.198 0.500
Ge3 0.802 0.198 0.500
Ge4 0.802 0.604 0.500
Rh1 0.200 0.400 0.500
Rh2 0.200 0.800 0.500
Rh3 0.533 0.066 0.000
Rh4 0.533 0.467 0.000
Rh5 0.600 0.800 0.500
Rh6 0.934 0.467 0.000

Most intense lines, 2θ = 15–90°, low angle first:
d/Å  2θ/deg  I (rel.)
2.646  33.88  24
2.437  36.88  100
2.367  38.02  34
2.021  44.85  35
1.941  46.80  25
1.839  49.58  14
1.808  50.48  25
1.501  61.81  16
1.323  71.29  18
1.192  80.60  12